This entry pairs a crystal structure of Y2CoSe with its theoretical X-ray diffraction stick pattern. Radiation: Cu Kα X-rays. Structure: a GGA-PBE-relaxed structure.
Intensities are scaled so that the largest is 100.

Atomic structure:
```
Y2CoSe
1.0
4.102 0.000 0.000
0.000 1.940 5.325
0.000 -1.940 5.325
Y Co Se
2 1 1
direct
0.000 0.000 0.000 Y
0.500 0.285 0.285 Y
0.000 0.736 0.736 Co
0.500 0.571 0.571 Se
```

Principal peaks in the range 2θ = 10–90°, in order of rising 2θ:
2θ 32.9, rel. 100
2θ 33.7, rel. 27
2θ 34.2, rel. 29
2θ 40.4, rel. 25
2θ 40.9, rel. 59
2θ 44.2, rel. 25
2θ 46.8, rel. 21
2θ 57.0, rel. 13
2θ 66.3, rel. 14
2θ 82.8, rel. 20

***

This entry pairs a crystal structure of Zr2CoSe with its theoretical X-ray diffraction stick pattern. Radiation: Cu Kα X-rays. Structure: a GGA-PBE-relaxed structure.
Intensities are scaled so that the largest is 100.

Atomic structure:
```
Zr2CoSe
1.0
3.740 0.000 0.000
0.000 3.740 0.000
0.000 0.000 5.537
Zr Co Se
2 1 1
direct
0.000 0.000 0.000 Zr
0.500 0.500 0.430 Zr
0.000 0.000 0.447 Co
0.500 0.500 0.914 Se
```

Principal peaks in the range 2θ = 10–90°, in order of rising 2θ:
2θ 28.8, rel. 9
2θ 32.3, rel. 47
2θ 33.9, rel. 100
2θ 40.5, rel. 14
2θ 47.5, rel. 62
2θ 48.7, rel. 35
2θ 59.7, rel. 31
2θ 71.3, rel. 11
2θ 80.5, rel. 13
2θ 81.4, rel. 15

***

This entry pairs a crystal structure of Co2Si3 with its theoretical X-ray diffraction stick pattern. Radiation: Cu Kα X-rays. Structure: a GGA-PBE-relaxed structure.
Intensities are scaled so that the largest is 100.

Atomic structure:
```
Co2Si3
1.0
5.379 0.000 0.000
0.000 5.379 0.000
0.000 0.000 8.435
Co Si
8 12
direct
0.000 0.000 0.000 Co
0.000 0.000 0.500 Co
0.000 0.500 0.371 Co
0.000 0.500 0.871 Co
0.500 0.000 0.129 Co
0.500 0.000 0.629 Co
0.500 0.500 0.250 Co
0.500 0.500 0.750 Co
0.172 0.172 0.250 Si
0.172 0.828 0.750 Si
0.204 0.348 0.591 Si
0.204 0.652 0.091 Si
0.348 0.204 0.909 Si
0.348 0.796 0.409 Si
0.652 0.204 0.409 Si
0.652 0.796 0.909 Si
0.796 0.348 0.091 Si
0.796 0.652 0.591 Si
0.828 0.172 0.750 Si
0.828 0.828 0.250 Si
```

Principal peaks in the range 2θ = 10–90°, in order of rising 2θ:
2θ 26.9, rel. 59
2θ 33.3, rel. 26
2θ 38.9, rel. 22
2θ 39.9, rel. 25
2θ 43.3, rel. 100
2θ 47.8, rel. 36
2θ 49.4, rel. 54
2θ 55.7, rel. 40
2θ 71.2, rel. 16
2θ 76.4, rel. 13

***

This entry pairs a crystal structure of CoSi5 with its theoretical X-ray diffraction stick pattern. Radiation: Cu Kα X-rays. Structure: a GGA-PBE-relaxed structure.
Intensities are scaled so that the largest is 100.

Atomic structure:
```
CoSi5
1.0
4.525 -1.338 0.000
4.525 1.338 0.000
-3.132 0.000 6.694
Co Si
1 5
direct
0.000 0.000 0.000 Co
0.072 0.072 0.578 Si
0.376 0.376 0.702 Si
0.458 0.458 0.245 Si
0.706 0.706 0.930 Si
0.737 0.737 0.290 Si
```

Principal peaks in the range 2θ = 10–90°, in order of rising 2θ:
2θ 13.2, rel. 66
2θ 21.7, rel. 25
2θ 39.5, rel. 30
2θ 40.2, rel. 26
2θ 40.4, rel. 33
2θ 40.7, rel. 26
2θ 41.4, rel. 25
2θ 41.7, rel. 100
2θ 47.6, rel. 56
2θ 86.0, rel. 23

***

This entry pairs a crystal structure of Co4Si5 with its theoretical X-ray diffraction stick pattern. Radiation: Cu Kα X-rays. Structure: a GGA-PBE-relaxed structure.
Intensities are scaled so that the largest is 100.

Atomic structure:
```
Co4Si5
1.0
6.998 0.000 0.000
-3.499 6.061 0.000
0.000 0.000 4.814
Co Si
8 10
direct
0.000 0.000 0.000 Co
0.000 0.000 0.500 Co
0.000 0.395 0.250 Co
0.000 0.605 0.750 Co
0.395 0.000 0.250 Co
0.395 0.395 0.750 Co
0.605 0.000 0.750 Co
0.605 0.605 0.250 Co
0.000 0.283 0.750 Si
0.000 0.717 0.250 Si
0.283 0.000 0.750 Si
0.283 0.283 0.250 Si
0.333 0.667 0.000 Si
0.333 0.667 0.500 Si
0.667 0.333 0.000 Si
0.667 0.333 0.500 Si
0.717 0.000 0.250 Si
0.717 0.717 0.750 Si
```

Principal peaks in the range 2θ = 10–90°, in order of rising 2θ:
2θ 29.5, rel. 32
2θ 31.6, rel. 24
2θ 37.4, rel. 12
2θ 43.8, rel. 56
2θ 44.9, rel. 79
2θ 45.8, rel. 100
2θ 58.1, rel. 32
2θ 66.0, rel. 17
2θ 83.4, rel. 17
2θ 87.6, rel. 14

***

This entry pairs a crystal structure of CoSi5 with its theoretical X-ray diffraction stick pattern. Radiation: Cu Kα X-rays. Structure: a GGA-PBE-relaxed structure.
Intensities are scaled so that the largest is 100.

Atomic structure:
```
CoSi5
1.0
4.479 0.000 0.000
0.000 1.583 5.785
0.000 -1.583 5.785
Co Si
1 5
direct
0.000 0.000 0.000 Co
0.000 0.350 0.350 Si
0.000 0.662 0.662 Si
0.500 0.248 0.248 Si
0.500 0.572 0.572 Si
0.500 0.914 0.914 Si
```

Principal peaks in the range 2θ = 10–90°, in order of rising 2θ:
2θ 15.3, rel. 24
2θ 36.7, rel. 56
2θ 40.3, rel. 49
2θ 42.1, rel. 100
2θ 51.6, rel. 43
2θ 55.6, rel. 31
2θ 58.3, rel. 16
2θ 73.2, rel. 16
2θ 74.4, rel. 18
2θ 81.6, rel. 33